Starting from a structure optimized by DFT (PBE), the PXRD pattern of U3VSb5 was simulated for a wavelength of 1.5418 Å.
Peak positions follow from Bragg's law for the DFT cell and can differ from measured ones.

Cell and atoms:
Unit cell a=9.113 b=9.113 c=6.082 alpha=90.00 beta=90.00 gamma=120.00
Fractional coordinates of all 18 atoms:
U1 0.000 0.389 0.250
U2 0.000 0.611 0.750
U3 0.389 0.000 0.250
U4 0.389 0.389 0.750
U5 0.611 0.000 0.750
U6 0.611 0.611 0.250
V1 0.000 0.000 0.000
V2 0.000 0.000 0.500
Sb1 0.000 0.256 0.750
Sb2 0.000 0.744 0.250
Sb3 0.256 0.000 0.750
Sb4 0.256 0.256 0.250
Sb5 0.333 0.667 0.000
Sb6 0.333 0.667 0.500
Sb7 0.667 0.333 0.000
Sb8 0.667 0.333 0.500
Sb9 0.744 0.000 0.250
Sb10 0.744 0.744 0.750

The 10 most intense peaks (2θ from 10° to 90°), most intense first:
2θ = 33.46°, I = 1000
2θ = 35.49°, I = 896
2θ = 34.08°, I = 753
2θ = 43.96°, I = 359
2θ = 24.41°, I = 290
2θ = 29.37°, I = 257
2θ = 54.74°, I = 248
2θ = 50.02°, I = 188
2θ = 64.31°, I = 180
2θ = 71.69°, I = 180

=====

Starting from a structure optimized by DFT (PBE), the PXRD pattern of U5VSb3 was simulated for a wavelength of 1.5418 Å.
Peak positions follow from Bragg's law for the DFT cell and can differ from measured ones.

Cell and atoms:
Unit cell a=9.129 b=9.129 c=5.934 alpha=90.00 beta=90.00 gamma=120.00
Fractional coordinates of all 18 atoms:
U1 0.000 0.258 0.250
U2 0.000 0.742 0.750
U3 0.258 0.000 0.250
U4 0.258 0.258 0.750
U5 0.333 0.667 0.000
U6 0.333 0.667 0.500
U7 0.667 0.333 0.000
U8 0.667 0.333 0.500
U9 0.742 0.000 0.750
U10 0.742 0.742 0.250
V1 0.000 0.000 0.000
V2 0.000 0.000 0.500
Sb1 0.000 0.384 0.750
Sb2 0.000 0.616 0.250
Sb3 0.384 0.000 0.750
Sb4 0.384 0.384 0.250
Sb5 0.616 0.000 0.250
Sb6 0.616 0.616 0.750

The 10 most intense peaks (2θ from 10° to 90°), most intense first:
2θ = 36.11°, I = 1000
2θ = 33.58°, I = 920
2θ = 34.02°, I = 779
2θ = 50.45°, I = 314
2θ = 29.90°, I = 286
2θ = 55.73°, I = 222
2θ = 52.78°, I = 208
2θ = 55.90°, I = 191
2θ = 73.22°, I = 176
2θ = 32.23°, I = 164

=====

Starting from a structure optimized by DFT (PBE), the PXRD pattern of YUSb2 was simulated for a wavelength of 1.5418 Å.
Peak positions follow from Bragg's law for the DFT cell and can differ from measured ones.

Cell and atoms:
Unit cell a=7.755 b=7.755 c=7.755 alpha=32.51 beta=32.51 gamma=32.51
Fractional coordinates of all 4 atoms:
Y1 0.000 0.000 0.000
U1 0.500 0.500 0.500
Sb1 0.250 0.250 0.250
Sb2 0.750 0.750 0.750

The 10 most intense peaks (2θ from 10° to 90°), most intense first:
2θ = 28.75°, I = 1000
2θ = 40.63°, I = 395
2θ = 41.60°, I = 370
2θ = 51.36°, I = 200
2θ = 66.76°, I = 183
2θ = 68.15°, I = 172
2θ = 75.25°, I = 131
2θ = 59.55°, I = 128
2θ = 12.06°, I = 128
2θ = 24.01°, I = 88

=====

Starting from a structure optimized by DFT (PBE), the PXRD pattern of ZrU3Sb5 was simulated for a wavelength of 1.5418 Å.
Peak positions follow from Bragg's law for the DFT cell and can differ from measured ones.

Cell and atoms:
Unit cell a=9.247 b=9.247 c=6.194 alpha=90.00 beta=90.00 gamma=120.00
Fractional coordinates of all 18 atoms:
Zr1 0.000 0.000 0.000
Zr2 0.000 0.000 0.500
U1 0.000 0.387 0.250
U2 0.000 0.613 0.750
U3 0.387 0.000 0.250
U4 0.387 0.387 0.750
U5 0.613 0.000 0.750
U6 0.613 0.613 0.250
Sb1 0.000 0.272 0.750
Sb2 0.000 0.728 0.250
Sb3 0.272 0.000 0.750
Sb4 0.272 0.272 0.250
Sb5 0.333 0.667 0.000
Sb6 0.333 0.667 0.500
Sb7 0.667 0.333 0.000
Sb8 0.667 0.333 0.500
Sb9 0.728 0.000 0.250
Sb10 0.728 0.728 0.750

The 10 most intense peaks (2θ from 10° to 90°), most intense first:
2θ = 34.87°, I = 1000
2θ = 33.57°, I = 911
2θ = 32.94°, I = 804
2θ = 43.28°, I = 377
2θ = 24.02°, I = 236
2θ = 63.26°, I = 227
2θ = 49.18°, I = 222
2θ = 70.28°, I = 217
2θ = 28.83°, I = 216
2θ = 53.74°, I = 203

=====

Starting from a structure optimized by DFT (PBE), the PXRD pattern of V5Sb4 was simulated for a wavelength of 1.5418 Å.
Peak positions follow from Bragg's law for the DFT cell and can differ from measured ones.

Cell and atoms:
Unit cell a=7.203 b=7.203 c=7.203 alpha=93.28 beta=93.28 gamma=152.33
Fractional coordinates of all 9 atoms:
V1 0.000 0.000 0.000
V2 0.318 0.386 0.704
V3 0.386 0.682 0.068
V4 0.614 0.318 0.932
V5 0.682 0.614 0.296
Sb1 0.063 0.290 0.353
Sb2 0.290 0.937 0.227
Sb3 0.710 0.063 0.773
Sb4 0.937 0.710 0.647

The 10 most intense peaks (2θ from 10° to 90°), most intense first:
2θ = 32.96°, I = 1000
2θ = 37.77°, I = 852
2θ = 40.80°, I = 609
2θ = 46.11°, I = 490
2θ = 25.47°, I = 405
2θ = 28.54°, I = 370
2θ = 53.41°, I = 364
2θ = 75.17°, I = 252
2θ = 69.13°, I = 238
2θ = 53.19°, I = 196

=====

Starting from a structure optimized by DFT (PBE), the PXRD pattern of V3Sb2 was simulated for a wavelength of 1.5418 Å.
Peak positions follow from Bragg's law for the DFT cell and can differ from measured ones.

Cell and atoms:
Unit cell a=7.535 b=7.535 c=7.535 alpha=42.96 beta=42.96 gamma=42.96
Fractional coordinates of all 10 atoms:
V1 0.127 0.602 0.602
V2 0.398 0.398 0.873
V3 0.398 0.873 0.398
V4 0.602 0.127 0.602
V5 0.602 0.602 0.127
V6 0.873 0.398 0.398
Sb1 0.110 0.110 0.110
Sb2 0.331 0.331 0.331
Sb3 0.669 0.669 0.669
Sb4 0.890 0.890 0.890

The 10 most intense peaks (2θ from 10° to 90°), most intense first:
2θ = 41.71°, I = 1000
2θ = 43.86°, I = 953
2θ = 32.45°, I = 801
2θ = 39.60°, I = 633
2θ = 25.49°, I = 613
2θ = 28.70°, I = 560
2θ = 52.09°, I = 418
2θ = 81.61°, I = 414
2θ = 67.95°, I = 351
2θ = 37.91°, I = 309